Starting from a structure optimized by DFT (GGA+U), the powder X-ray diffraction pattern of Li2Co2SiO6 was computed for Cu Kα.
No peak broadening, texture or thermal motion is included.

Largest 6 diffraction maxima, in order of falling intensity, 15 to 90 degrees two-theta:
| Position (°2θ) | Rel. int. |
| --- | --- |
| 17.79 | 100 |
| 45.59 | 31 |
| 37.30 | 24 |
| 59.44 | 18 |
| 39.87 | 16 |
| 64.77 | 15 |

Structural model:
Cell: 4.971 4.971 9.969 Å, 90.00 90.00 61.39°
Fractional coordinates of all 22 atoms:
Li 0.122 0.378 0.250
Li 0.378 0.122 0.750
Li 0.622 0.878 0.250
Li 0.878 0.622 0.750
Co 0.164 0.164 0.000
Co 0.336 0.336 0.500
Co 0.664 0.664 0.500
Co 0.836 0.836 0.000
Si 0.000 0.000 0.500
Si 0.500 0.500 0.000
O 0.019 0.295 0.606
O 0.199 0.801 0.092
O 0.205 0.481 0.894
O 0.295 0.019 0.394
O 0.301 0.699 0.592
O 0.481 0.205 0.106
O 0.519 0.795 0.894
O 0.699 0.301 0.408
O 0.705 0.981 0.606
O 0.795 0.519 0.106
O 0.801 0.199 0.908
O 0.981 0.705 0.394

Starting from a structure optimized by DFT (GGA+U), the powder X-ray diffraction pattern of MgV12Zn6O24 was computed for Cu Kα.
No peak broadening, texture or thermal motion is included.

Largest 6 diffraction maxima, in order of falling intensity, 15 to 90 degrees two-theta:
| Position (°2θ) | Rel. int. |
| --- | --- |
| 36.19 | 100 |
| 33.49 | 83 |
| 30.12 | 75 |
| 34.26 | 71 |
| 34.42 | 52 |
| 34.54 | 51 |

Structural model:
Cell: 6.031 6.063 15.137 Å, 83.94 89.89 60.41°
Fractional coordinates of all 43 atoms:
Mg 0.000 0.000 0.000
V 0.001 0.497 0.023
V 0.016 0.953 0.175
V 0.129 0.270 0.664
V 0.261 0.496 0.498
V 0.261 0.997 0.498
V 0.391 0.723 0.333
V 0.498 0.046 0.825
V 0.518 0.455 0.162
V 0.521 0.955 0.174
V 0.761 0.497 0.498
V 0.987 0.040 0.825
V 0.990 0.550 0.828
Zn 0.042 0.410 0.291
Zn 0.473 0.590 0.703
Zn 0.503 0.505 0.945
Zn 0.504 0.003 0.003
Zn 0.734 0.047 0.375
Zn 0.786 0.950 0.619
O 0.081 0.361 0.426
O 0.104 0.850 0.421
O 0.131 0.689 0.923
O 0.163 0.189 0.914
O 0.207 0.060 0.253
O 0.215 0.604 0.246
O 0.300 0.395 0.752
O 0.308 0.933 0.749
O 0.327 0.821 0.090
O 0.348 0.314 0.081
O 0.416 0.142 0.578
O 0.441 0.633 0.571
O 0.559 0.391 0.418
O 0.571 0.842 0.422
O 0.673 0.593 0.247
O 0.676 0.160 0.911
O 0.687 0.693 0.920
O 0.703 0.111 0.241
O 0.807 0.892 0.754
O 0.841 0.399 0.750
O 0.842 0.306 0.078
O 0.845 0.825 0.085
O 0.952 0.152 0.576
O 0.963 0.601 0.580

Starting from a structure optimized by DFT (GGA+U), the powder X-ray diffraction pattern of TiFe2O4 was computed for Cu Kα.
No peak broadening, texture or thermal motion is included.

Largest 6 diffraction maxima, in order of falling intensity, 15 to 90 degrees two-theta:
| Position (°2θ) | Rel. int. |
| --- | --- |
| 32.41 | 100 |
| 42.02 | 50 |
| 45.00 | 47 |
| 32.93 | 28 |
| 36.54 | 22 |
| 36.17 | 22 |

Structural model:
Cell: 9.970 2.949 9.933 Å, 90.00 90.00 90.00°
Fractional coordinates of all 28 atoms:
Ti 0.069 0.000 0.130
Ti 0.431 0.000 0.130
Ti 0.569 0.000 0.870
Ti 0.931 0.000 0.870
Fe 0.075 0.500 0.627
Fe 0.250 0.000 0.390
Fe 0.250 0.500 0.876
Fe 0.425 0.500 0.627
Fe 0.575 0.500 0.373
Fe 0.750 0.000 0.610
Fe 0.750 0.500 0.124
Fe 0.925 0.500 0.373
O 0.000 0.000 0.500
O 0.000 0.500 0.000
O 0.110 0.000 0.790
O 0.114 0.500 0.259
O 0.250 0.000 0.044
O 0.250 0.500 0.535
O 0.386 0.500 0.259
O 0.390 0.000 0.790
O 0.500 0.000 0.500
O 0.500 0.500 0.000
O 0.610 0.000 0.210
O 0.614 0.500 0.741
O 0.750 0.000 0.956
O 0.750 0.500 0.465
O 0.886 0.500 0.741
O 0.890 0.000 0.210

Starting from a structure optimized by DFT (GGA+U), the powder X-ray diffraction pattern of Na4Fe2PC4O16 was computed for Cu Kα.
No peak broadening, texture or thermal motion is included.

Largest 6 diffraction maxima, in order of falling intensity, 15 to 90 degrees two-theta:
| Position (°2θ) | Rel. int. |
| --- | --- |
| 20.60 | 100 |
| 17.78 | 83 |
| 33.75 | 60 |
| 33.55 | 56 |
| 21.30 | 56 |
| 21.19 | 51 |

Structural model:
Cell: 9.999 9.968 9.771 Å, 60.86 60.54 58.60°
Fractional coordinates of all 54 atoms:
Na 0.085 0.665 0.085
Na 0.085 0.665 0.665
Na 0.335 0.915 0.335
Na 0.335 0.915 0.915
Na 0.665 0.085 0.085
Na 0.665 0.085 0.665
Na 0.915 0.335 0.335
Na 0.915 0.335 0.915
Fe 0.000 0.500 0.500
Fe 0.500 0.000 0.500
Fe 0.500 0.500 0.000
Fe 0.500 0.500 0.500
P 0.125 0.125 0.125
P 0.875 0.875 0.875
C 0.278 0.642 0.292
C 0.288 0.292 0.642
C 0.292 0.288 0.278
C 0.358 0.722 0.712
C 0.642 0.278 0.288
C 0.708 0.712 0.722
C 0.712 0.708 0.358
C 0.722 0.358 0.708
O 0.055 0.317 0.063
O 0.063 0.065 0.055
O 0.065 0.063 0.317
O 0.140 0.636 0.407
O 0.144 0.320 0.647
O 0.144 0.403 0.305
O 0.305 0.647 0.144
O 0.317 0.055 0.065
O 0.317 0.407 0.636
O 0.320 0.144 0.390
O 0.353 0.610 0.856
O 0.353 0.695 0.597
O 0.364 0.860 0.683
O 0.390 0.647 0.320
O 0.403 0.144 0.647
O 0.407 0.317 0.140
O 0.593 0.683 0.860
O 0.597 0.856 0.353
O 0.610 0.353 0.680
O 0.636 0.140 0.317
O 0.647 0.305 0.403
O 0.647 0.390 0.144
O 0.680 0.856 0.610
O 0.683 0.593 0.364
O 0.683 0.945 0.935
O 0.695 0.353 0.856
O 0.856 0.597 0.695
O 0.856 0.680 0.353
O 0.860 0.364 0.593
O 0.935 0.937 0.683
O 0.937 0.935 0.945
O 0.945 0.683 0.937

Starting from a structure optimized by DFT (GGA+U), the powder X-ray diffraction pattern of Ti3VFe2P6O24 was computed for Cu Kα.
No peak broadening, texture or thermal motion is included.

Largest 6 diffraction maxima, in order of falling intensity, 15 to 90 degrees two-theta:
| Position (°2θ) | Rel. int. |
| --- | --- |
| 24.15 | 100 |
| 20.45 | 67 |
| 32.97 | 62 |
| 35.81 | 30 |
| 47.26 | 28 |
| 49.46 | 23 |

Structural model:
Cell: 8.582 8.582 8.582 Å, 60.81 60.81 60.81°
Fractional coordinates of all 36 atoms:
Ti 0.000 0.000 0.000
Ti 0.212 0.212 0.212
Ti 0.710 0.710 0.710
V 0.496 0.496 0.496
Fe 0.357 0.357 0.357
Fe 0.856 0.856 0.856
P 0.103 0.813 0.399
P 0.311 0.604 0.899
P 0.399 0.103 0.813
P 0.604 0.899 0.311
P 0.813 0.399 0.103
P 0.899 0.311 0.604
O 0.033 0.866 0.239
O 0.096 0.299 0.445
O 0.116 0.769 0.920
O 0.170 0.974 0.353
O 0.239 0.033 0.866
O 0.258 0.620 0.408
O 0.299 0.445 0.096
O 0.345 0.542 0.746
O 0.353 0.170 0.974
O 0.408 0.258 0.620
O 0.445 0.096 0.299
O 0.474 0.671 0.852
O 0.542 0.746 0.345
O 0.594 0.941 0.803
O 0.620 0.408 0.258
O 0.671 0.852 0.474
O 0.746 0.345 0.542
O 0.769 0.920 0.116
O 0.803 0.594 0.941
O 0.852 0.474 0.671
O 0.866 0.239 0.033
O 0.920 0.116 0.769
O 0.941 0.803 0.594
O 0.974 0.353 0.170

Starting from a structure optimized by DFT (GGA+U), the powder X-ray diffraction pattern of Li2V5O10 was computed for Cu Kα.
No peak broadening, texture or thermal motion is included.

Largest 6 diffraction maxima, in order of falling intensity, 15 to 90 degrees two-theta:
| Position (°2θ) | Rel. int. |
| --- | --- |
| 17.98 | 100 |
| 37.75 | 41 |
| 44.63 | 29 |
| 45.47 | 27 |
| 27.02 | 18 |
| 27.58 | 18 |

Structural model:
Cell: 5.189 8.383 9.945 Å, 111.74 102.67 94.04°
Fractional coordinates of all 34 atoms:
Li 0.004 0.326 0.225
Li 0.481 0.178 0.283
Li 0.519 0.822 0.717
Li 0.996 0.674 0.775
V 0.000 0.500 0.000
V 0.014 0.718 0.320
V 0.039 0.084 0.900
V 0.472 0.413 0.599
V 0.482 0.783 0.173
V 0.500 0.000 0.500
V 0.518 0.217 0.827
V 0.528 0.587 0.401
V 0.961 0.916 0.100
V 0.986 0.282 0.680
O 0.163 0.115 0.108
O 0.201 0.486 0.677
O 0.206 0.726 0.005
O 0.212 0.321 0.894
O 0.237 0.925 0.287
O 0.269 0.577 0.202
O 0.300 0.170 0.624
O 0.314 0.010 0.826
O 0.318 0.777 0.495
O 0.326 0.389 0.393
O 0.674 0.611 0.607
O 0.682 0.223 0.505
O 0.686 0.990 0.174
O 0.700 0.830 0.376
O 0.731 0.423 0.798
O 0.763 0.075 0.713
O 0.788 0.679 0.106
O 0.794 0.274 0.995
O 0.799 0.514 0.323
O 0.837 0.885 0.892